For Er4Tm2Te9, a GGA-PBE-relaxed structure gives the computed X-ray diffraction stick pattern in this record (λ = 1.5418 Å (Cu Kα)).
Kinematic intensities with the Lorentz-polarization factor, no thermal factor.

Most intense lines, 5° ≤ 2θ ≤ 70°, sorted by position:
5.578 Å, 2θ 15.89, I = 35
4.094 Å, 2θ 21.71, I = 27
3.342 Å, 2θ 26.68, I = 83
2.789 Å, 2θ 32.09, I = 19
2.569 Å, 2θ 34.92, I = 100
2.250 Å, 2θ 40.07, I = 17
2.199 Å, 2θ 41.04, I = 62
1.982 Å, 2θ 45.79, I = 19
1.671 Å, 2θ 54.95, I = 27
1.365 Å, 2θ 68.79, I = 21

Structure:
abc: 7.6191 7.6191 20.8818
angles: 90.00 90.00 120.00
Fractional coordinates of all 30 atoms:
Er: 0.3333 0.6667 0.1757
Er: 0.3333 0.6667 0.4910
Er: 0.3333 0.6667 0.6757
Er: 0.3333 0.6667 0.9910
Er: 0.6667 0.3333 0.0090
Er: 0.6667 0.3333 0.3243
Er: 0.6667 0.3333 0.5090
Er: 0.6667 0.3333 0.8243
Tm: 0.0000 0.0000 0.1579
Tm: 0.0000 0.0000 0.3421
Tm: 0.0000 0.0000 0.6579
Tm: 0.0000 0.0000 0.8421
Te: 0.0000 0.3141 0.2500
Te: 0.0000 0.6859 0.7500
Te: 0.0184 0.3508 0.5835
Te: 0.0184 0.6675 0.0835
Te: 0.3141 0.0000 0.2500
Te: 0.3141 0.3141 0.7500
Te: 0.3325 0.3508 0.0835
Te: 0.3325 0.9816 0.5835
Te: 0.3508 0.0184 0.9165
Te: 0.3508 0.3325 0.4165
Te: 0.6492 0.6675 0.5835
Te: 0.6492 0.9816 0.0835
Te: 0.6675 0.0184 0.4165
Te: 0.6675 0.6492 0.9165
Te: 0.6859 0.0000 0.7500
Te: 0.6859 0.6859 0.2500
Te: 0.9816 0.3325 0.9165
Te: 0.9816 0.6492 0.4165


For AcTb6PrDy2, a GGA-PBE-relaxed structure gives the computed X-ray diffraction stick pattern in this record (λ = 1.5418 Å (Cu Kα)).
Kinematic intensities with the Lorentz-polarization factor, no thermal factor.

Most intense lines, 5° ≤ 2θ ≤ 70°, sorted by position:
3.199 Å, 2θ 27.89, I = 38
3.181 Å, 2θ 28.05, I = 20
2.954 Å, 2θ 30.25, I = 100
2.934 Å, 2θ 30.46, I = 62
2.911 Å, 2θ 30.71, I = 39
2.868 Å, 2θ 31.19, I = 34
2.810 Å, 2θ 31.85, I = 25
2.664 Å, 2θ 33.64, I = 47
2.594 Å, 2θ 34.58, I = 14
2.448 Å, 2θ 36.71, I = 13

Structure:
abc: 8.9591 8.9591 9.6507
angles: 92.85 92.85 117.78
Fractional coordinates of all 20 atoms:
Ac: 0.0310 0.9690 0.7500
Ac: 0.9690 0.0310 0.2500
Tb: 0.0211 0.5578 0.6784
Tb: 0.1229 0.7489 0.0574
Tb: 0.2511 0.8771 0.4426
Tb: 0.2904 0.5100 0.8824
Tb: 0.4422 0.9789 0.8216
Tb: 0.4900 0.7096 0.6176
Tb: 0.5100 0.2904 0.3824
Tb: 0.5578 0.0211 0.1784
Tb: 0.7096 0.4900 0.1176
Tb: 0.7489 0.1229 0.5574
Tb: 0.8771 0.2511 0.9426
Tb: 0.9789 0.4422 0.3216
Pr: 0.4094 0.5906 0.2500
Pr: 0.5906 0.4094 0.7500
Dy: 0.1974 0.3101 0.5479
Dy: 0.3101 0.1974 0.0479
Dy: 0.6899 0.8026 0.9521
Dy: 0.8026 0.6899 0.4521


For KCa3Mg3AlSi8O24, a GGA-PBE-relaxed structure gives the computed X-ray diffraction stick pattern in this record (λ = 1.5418 Å (Cu Kα)).
Kinematic intensities with the Lorentz-polarization factor, no thermal factor.

Most intense lines, 5° ≤ 2θ ≤ 70°, sorted by position:
3.254 Å, 2θ 27.41, I = 25
3.027 Å, 2θ 29.51, I = 100
2.961 Å, 2θ 30.18, I = 27
2.924 Å, 2θ 30.58, I = 37
2.595 Å, 2θ 34.56, I = 24
2.558 Å, 2θ 35.08, I = 41
2.531 Å, 2θ 35.47, I = 40
2.310 Å, 2θ 39.00, I = 18
2.063 Å, 2θ 43.90, I = 20
1.428 Å, 2θ 65.33, I = 18

Structure:
abc: 5.3340 9.0155 9.7492
angles: 90.00 105.24 90.00
Fractional coordinates of all 40 atoms:
K: 0.0000 0.0000 0.0000
Ca: 0.0000 0.8923 0.5000
Ca: 0.5000 0.3907 0.0000
Ca: 0.5000 0.4910 0.5000
Mg: 0.0000 0.2833 0.5000
Mg: 0.0000 0.6005 0.0000
Mg: 0.5000 0.0987 0.5000
Al: 0.5000 0.7909 0.0000
Si: 0.1853 0.2843 0.2137
Si: 0.1935 0.6041 0.7145
Si: 0.3146 0.7859 0.2832
Si: 0.3171 0.0963 0.7874
Si: 0.6829 0.0963 0.2126
Si: 0.6854 0.7859 0.7168
Si: 0.8065 0.6041 0.2855
Si: 0.8147 0.2843 0.7863
O: 0.1052 0.6767 0.3440
O: 0.1122 0.2098 0.8446
O: 0.1941 0.4412 0.1360
O: 0.2073 0.4460 0.6415
O: 0.2259 0.0994 0.6148
O: 0.2520 0.7661 0.1113
O: 0.2748 0.2811 0.3863
O: 0.2881 0.6193 0.8877
O: 0.2887 0.9423 0.3562
O: 0.3305 0.9354 0.8624
O: 0.3896 0.7121 0.6439
O: 0.3986 0.1832 0.1516
O: 0.6014 0.1832 0.8484
O: 0.6104 0.7121 0.3561
O: 0.6695 0.9354 0.1376
O: 0.7113 0.9423 0.6438
O: 0.7119 0.6193 0.1123
O: 0.7252 0.2811 0.6137
O: 0.7480 0.7661 0.8887
O: 0.7741 0.0994 0.3852
O: 0.7927 0.4460 0.3585
O: 0.8059 0.4412 0.8640
O: 0.8878 0.2098 0.1554
O: 0.8948 0.6767 0.6560


For Pr3AlSn4, a GGA-PBE-relaxed structure gives the computed X-ray diffraction stick pattern in this record (λ = 1.5418 Å (Cu Kα)).
Kinematic intensities with the Lorentz-polarization factor, no thermal factor.

Most intense lines, 5° ≤ 2θ ≤ 70°, sorted by position:
4.142 Å, 2θ 21.45, I = 34
3.867 Å, 2θ 23.00, I = 34
3.454 Å, 2θ 25.79, I = 69
2.734 Å, 2θ 32.75, I = 97
2.580 Å, 2θ 34.77, I = 100
2.447 Å, 2θ 36.73, I = 38
2.322 Å, 2θ 38.77, I = 36
2.109 Å, 2θ 42.87, I = 27
1.732 Å, 2θ 52.86, I = 23
1.727 Å, 2θ 53.02, I = 26

Structure:
abc: 8.7999 8.7999 8.7999
angles: 149.39 133.60 56.61
Fractional coordinates of all 8 atoms:
Pr: 0.0000 0.0000 0.0000
Pr: 0.3158 0.8158 0.5000
Pr: 0.6842 0.1842 0.5000
Al: 0.5000 0.5000 0.0000
Sn: 0.0869 0.3763 0.7106
Sn: 0.3343 0.6237 0.7106
Sn: 0.6657 0.3763 0.2894
Sn: 0.9131 0.6237 0.2894